Structure and calculated X-ray powder pattern of NpCuNiO5 (a cell relaxed with PBE+U; Cu Kα (λ = 1.5418 Å)).

Most intense lines, 10° ≤ 2θ ≤ 90°, by angle:
| 2θ/deg | Rel. int. |
| --- | --- |
| 18.22 | 100.0 |
| 24.60 | 93.2 |
| 30.46 | 91.7 |
| 31.52 | 62.1 |
| 32.00 | 36.7 |
| 35.72 | 27.5 |
| 36.15 | 40.5 |
| 51.91 | 24.0 |
| 52.21 | 19.4 |
| 65.77 | 22.6 |

Crystal structure
```
16
Lattice="3.0791 -4.9397 0.0000 3.0791 4.9397 0.0000 -2.8002 0.0000 7.2977" Properties=species:S:1:pos:R:3 pbc="T T T"
Np 1.5395 2.4698 0.0000
Np 0.1395 -2.4698 3.6489
Cu 0.9790 4.4796 5.4733
Cu 2.3790 -4.4796 1.8244
Ni 0.9790 0.4542 5.4733
Ni 2.3790 -0.4542 1.8244
O 1.5093 3.1814 4.0715
O 0.4486 3.1814 6.8751
O -0.7472 0.7429 6.2444
O 0.6529 -0.7429 2.5955
O 2.3790 1.4964 1.8244
O 0.9790 -1.4964 5.4733
O 2.7051 0.7429 4.7022
O 4.1051 -0.7429 1.0534
O 2.9094 -3.1814 0.4226
O 1.8487 -3.1814 3.2262
```